Record 1
Starting from a cell relaxed with PBE, the X-ray diffraction stick pattern of PuScAl2O8 was computed for Cu Ka.
No peak broadening, texture or thermal motion is included.

Largest 10 diffraction maxima, sorted by position, 15 to 90 degrees two-theta:
18.8°, I = 41.9
19.2°, I = 100.0
26.7°, I = 65.2
33.1°, I = 37.6
33.8°, I = 51.2
38.9°, I = 16.4
43.1°, I = 21.6
44.4°, I = 18.5
51.4°, I = 19.2
51.9°, I = 42.9

Cell lengths 5.7049, 5.7049, 5.7049 Å; angles 108.49, 108.49, 111.45 degrees
Sites, in units of the cell vectors:
Pu 0.0000 0.0000 0.0000
Sc 0.7500 0.2500 0.5000
Al 0.2500 0.7500 0.5000
Al 0.5000 0.5000 0.0000
O 0.0629 0.3689 0.3059
O 0.0629 0.7570 0.6941
O 0.1202 0.3097 0.8104
O 0.2430 0.9371 0.3059
O 0.4993 0.3097 0.1896
O 0.6311 0.9371 0.6941
O 0.6903 0.5007 0.8104
O 0.6903 0.8798 0.1896

=====

Record 2
Starting from a cell relaxed with PBE, the X-ray diffraction stick pattern of Ca2HgRhC was computed for Cu Ka.
No peak broadening, texture or thermal motion is included.

Largest 10 diffraction maxima, sorted by position, 15 to 90 degrees two-theta:
22.9°, I = 19.2
24.2°, I = 42.1
28.7°, I = 11.4
33.6°, I = 100.0
34.6°, I = 51.7
41.9°, I = 17.4
49.7°, I = 18.0
59.4°, I = 20.8
61.3°, I = 34.8
70.6°, I = 12.3

Cell lengths 5.1916, 5.1916, 3.8849 Å; angles 90.00, 90.00, 90.00 degrees
Sites, in units of the cell vectors:
Ca 0.0000 0.5000 0.0000
Ca 0.5000 0.0000 0.0000
Hg 0.0000 0.0000 0.5000
Rh 0.5000 0.5000 0.5000
C 0.5000 0.5000 0.0000

=====

Record 3
Starting from a cell relaxed with PBE, the X-ray diffraction stick pattern of Pm4Sm3Ho2 was computed for Cu Ka.
No peak broadening, texture or thermal motion is included.

Largest 10 diffraction maxima, sorted by position, 15 to 90 degrees two-theta:
31.1°, I = 90.1
31.3°, I = 100.0
40.6°, I = 11.6
44.8°, I = 33.1
55.7°, I = 34.8
55.8°, I = 19.5
61.8°, I = 28.8
65.4°, I = 12.1
74.2°, I = 14.7
79.6°, I = 13.9

Cell lengths 9.8858, 9.8858, 7.0617 Å; angles 90.00, 90.00, 119.97 degrees
Sites, in units of the cell vectors:
Pm 0.1655 0.1673 0.0000
Pm 0.1657 0.4994 0.0000
Pm 0.1673 0.1655 0.5000
Pm 0.4994 0.1657 0.5000
Pm 0.5006 0.8343 0.5000
Pm 0.8327 0.8345 0.5000
Pm 0.8343 0.5006 0.0000
Pm 0.8345 0.8327 0.0000
Sm 0.1700 0.8300 0.2500
Sm 0.1700 0.8300 0.7500
Sm 0.5000 0.5000 0.2500
Sm 0.5000 0.5000 0.7500
Sm 0.8300 0.1700 0.2500
Sm 0.8300 0.1700 0.7500
Ho 0.1669 0.4995 0.5000
Ho 0.4995 0.1669 0.0000
Ho 0.5005 0.8331 0.0000
Ho 0.8331 0.5005 0.5000